VH10SeNO9: theoretical PXRD pattern (Cu Kα (λ = 1.5418 Å)), based on a cell relaxed with PBE+U.
Neutral-atom scattering factors, no anomalous dispersion.

Principal peaks in the range 2θ from 10° to 90°, in order of rising 2θ:
hkl 0 0 1, 13.4°, intensity 32
hkl 0 1 1, 16.1°, intensity 100
hkl 0 2 0, 17.6°, intensity 67
hkl 0 2 1, 22.2°, intensity 19
hkl 1 1 1, 24.5°, intensity 24
hkl 0 1 2, 28.5°, intensity 12
hkl 2 1 -1, 29.4°, intensity 45
hkl 0 3 1, 29.8°, intensity 33
hkl 2 1 0, 30.7°, intensity 22
hkl 0 3 2, 38.2°, intensity 12

a b c (Å): 6.4367 10.0983 6.9742
angles (deg): 90.00 108.99 90.00
Fractional positions:
V 0.1129 0.0000 0.4098
V 0.8871 0.5000 0.5902
H 0.0426 0.2333 0.6640
H 0.0641 0.3519 0.2256
H 0.1036 0.3405 0.9970
H 0.1770 0.7375 0.2711
H 0.2531 0.4494 0.1732
H 0.2675 0.7823 0.6967
H 0.2963 0.2832 0.2050
H 0.2972 0.9121 0.8237
H 0.3643 0.6623 0.0762
H 0.4799 0.1374 0.7046
H 0.5201 0.6374 0.2954
H 0.6357 0.1623 0.9238
H 0.7028 0.4121 0.1763
H 0.7037 0.7832 0.7950
H 0.7325 0.2823 0.3033
H 0.7469 0.9494 0.8268
H 0.8230 0.2375 0.7289
H 0.8964 0.8405 0.0031
H 0.9359 0.8519 0.7744
H 0.9574 0.7333 0.3360
Se 0.4357 0.4977 0.7221
Se 0.5643 0.9977 0.2779
N 0.1797 0.3565 0.1512
N 0.8203 0.8565 0.8488
O 0.0304 0.0660 0.1819
O 0.0511 0.7923 0.2817
O 0.1797 0.4639 0.5602
O 0.1877 0.1290 0.5714
O 0.1978 0.8700 0.6991
O 0.3628 0.6335 0.2096
O 0.4171 0.9459 0.4272
O 0.4627 0.6591 0.7694
O 0.4942 0.4079 0.9298
O 0.5058 0.9079 0.0702
O 0.5373 0.1591 0.2306
O 0.5829 0.4459 0.5728
O 0.6372 0.1335 0.7904
O 0.8022 0.3700 0.3009
O 0.8123 0.6290 0.4286
O 0.8203 0.9639 0.4398
O 0.9489 0.2923 0.7183
O 0.9696 0.5660 0.8181